Starting from a DFT-relaxed cell (PBE, Alexandria), the PXRD pattern of SmHo4Rh4 was calculated for Cu Kα.

Structure:
Cell: 8.837 8.837 5.597 Å, 90.00 90.00 90.00°
Space group P4_2/n (No. 86, origin choice 2)
Symmetry-distinct sites (fractional):
Sm1 0.250 0.250 0.250 [2 per cell]
Ho1 0.073 0.659 0.162 [8 per cell]
Rh1 0.033 0.623 0.660 [8 per cell]

Main lines, by angle (5° ≤ 2θ ≤ 70°):
(1 1 0), 2θ = 14.2°, rel. 11
(2 1 1), 2θ = 27.6°, rel. 26
(1 3 0), 2θ = 32.0°, rel. 100
(1 0 2), 2θ = 33.6°, rel. 35
(1 2 2), 2θ = 39.5°, rel. 16
(2 3 1), 2θ = 40.2°, rel. 12
(3 0 2), 2θ = 44.7°, rel. 18
(4 2 0), 2θ = 45.9°, rel. 46
(3 2 2), 2θ = 49.4°, rel. 19
(1 4 2), 2θ = 53.9°, rel. 12

=====

Starting from a DFT-relaxed cell (PBE, Alexandria), the PXRD pattern of Np2GaIr3 was calculated for Cu Kα.

Structure:
Cell: 5.5812 5.5812 11.8696 Å, 90.00 90.00 120.00°
Space group R-3m (No. 166, hexagonal axes)
Symmetry-distinct sites (fractional):
Np1 0.0000 0.0000 0.1200 [6 per cell]
Ga1 0.0000 0.0000 0.5000 [3 per cell]
Ir1 0.0000 0.5000 0.0000 [9 per cell]

Main lines, by angle (5° ≤ 2θ ≤ 70°):
(1 1 0), 2θ = 32.1°, rel. 27
(1 0 4), 2θ = 35.5°, rel. 57
(0 2 1), 2θ = 38.0°, rel. 100
(1 1 3), 2θ = 39.5°, rel. 81
(2 0 2), 2θ = 40.3°, rel. 55
(0 1 5), 2θ = 42.4°, rel. 43
(2 1 4), 2θ = 59.4°, rel. 27
(3 0 3), 2θ = 62.2°, rel. 22
(1 2 5), 2θ = 64.3°, rel. 26
(2 2 0), 2θ = 67.1°, rel. 34